Diffraction record for TiGa2Pt2. The powder XRD pattern is computed, not measured: it uses DFT lattice parameters and positions (PBE) and Cu Kα.
No peak broadening, texture or thermal motion is included.

Largest 6 diffraction maxima, by angle, 2θ from 15° to 90°:
2θ/deg	Rel. int.	h k l
22.76	19	0 1 1
28.25	20	0 1 2
28.36	28	1 0 2
41.65	100	1 1 3
41.96	27	0 2 0
42.27	26	2 0 0

Atomic structure:
Unit cell a=4.276 b=4.306 c=9.299 alpha=90.00 beta=90.00 gamma=90.00
Space group Pmmn (No. 59, origin choice 2)
Inequivalent atoms, fractional coordinates:
Ti: 0.250 0.250 0.184 [2 per cell]
Ga: 0.250 0.250 0.502 [2 per cell]
Ga: 0.250 0.250 0.820 [2 per cell]
Pt: 0.250 0.750 0.339 [2 per cell]
Pt: 0.250 0.750 0.976 [2 per cell]


Diffraction record for Li2La3Tb2Tl4. The powder XRD pattern is computed, not measured: it uses DFT lattice parameters and positions (PBE) and Cu Kα.
No peak broadening, texture or thermal motion is included.

Largest 6 diffraction maxima, by angle, 2θ from 15° to 90°:
2θ/deg	Rel. int.	h k l
23.50	51	0 1 2
32.17	95	0 1 4
34.73	100	1 1 0
43.24	30	1 0 6
48.06	31	2 0 4
60.64	31	1 2 4

Atomic structure:
Unit cell a=5.1663 b=5.1663 c=14.2150 alpha=90.00 beta=90.00 gamma=120.00
Space group P-3m1 (No. 164)
Inequivalent atoms, fractional coordinates:
Li: 0.3333 0.6667 0.1307 [2 per cell]
La: 0.0000 0.0000 0.0000 [1 per cell]
La: 0.0000 0.0000 0.2439 [2 per cell]
Tb: 0.3333 0.6667 0.5791 [2 per cell]
Tl: 0.3333 0.6667 0.3542 [2 per cell]
Tl: 0.3333 0.6667 0.8734 [2 per cell]